Computed powder XRD pattern of HfZrCo2Sb2 for Cu Kα X-rays, from the PBE geometry in OQMD.
No peak broadening, texture or thermal motion is included.

Crystal structure
```
data_HfZrCo2Sb2
_chemical_formula_sum 'Hf4 Zr4 Co8 Sb8'
_space_group_name_H-M_alt 'P 1 m 1'
_space_group_IT_number 6
_cell_length_a 8.600
_cell_length_b 4.299
_cell_length_c 12.899
_cell_angle_alpha 90.00
_cell_angle_beta 109.47
_cell_angle_gamma 90.00
loop_
_space_group_symop_operation_xyz
'x,y,z'
'x,-y,z'
loop_
_atom_site_label
_atom_site_fract_x
_atom_site_fract_y
_atom_site_fract_z
Hf1 0.000 0.000 0.000
Hf2 0.125 0.500 0.750
Hf3 0.250 0.000 0.500
Hf4 0.500 0.000 0.000
Zr1 0.375 0.500 0.250
Zr2 0.625 0.500 0.750
Zr3 0.750 0.000 0.500
Zr4 0.875 0.500 0.250
Co1 0.062 0.500 0.124
Co2 0.188 0.000 0.875
Co3 0.311 0.500 0.625
Co4 0.436 0.000 0.375
Co5 0.562 0.500 0.124
Co6 0.688 0.000 0.876
Co7 0.814 0.500 0.626
Co8 0.939 0.000 0.376
Sb1 0.002 0.500 0.501
Sb2 0.125 0.000 0.250
Sb3 0.250 0.500 0.999
Sb4 0.374 0.000 0.750
Sb5 0.499 0.500 0.500
Sb6 0.625 0.000 0.249
Sb7 0.750 0.500 0.000
Sb8 0.877 0.000 0.751
```

Peak list (10 most intense, 2θ = 5–70°, by angle)
two_theta	d [Å]	I_rel	hkl
7.27	12.162	2.0	0 0 1
10.91	8.108	1.8	1 0 0
25.37	3.511	10.6	2 0 1
29.38	3.040	49.0	0 0 4
42.03	2.150	100.0	2 1 3
49.73	1.833	4.7	4 1 0
52.10	1.755	13.4	4 0 2
60.95	1.520	16.2	0 0 8
67.10	1.395	1.8	2 2 5
69.08	1.360	17.4	4 2 2